Starting from a DFT-relaxed cell (GGA-PBE, Alexandria), the powder diffraction line list of Tb2Y2Sc3 was computed for copper Kα.
Kinematic intensities with the Lorentz-polarization factor, no thermal factor.

Main lines, sorted by position (2θ from 10° to 90°):
d (Å)  Position (°2θ)  intensity
5.765  15.4  38
3.203  27.9  28
2.789  32.1  54
2.769  32.3  52
2.697  33.2  77
2.675  33.5  100

Structural model:
abc: 6.1515 5.7058 11.6914
angles: 90.00 99.55 90.00
Sites, in units of the cell vectors:
Tb1 0.1126 0.0988 0.2956
Tb2 0.1126 0.4012 0.7956
Tb3 0.8874 0.5988 0.2044
Tb4 0.8874 0.9012 0.7044
Y1 0.4495 0.5663 0.3501
Y2 0.4495 0.9337 0.8501
Y3 0.5505 0.0663 0.1499
Y4 0.5505 0.4337 0.6499
Sc1 0.0000 0.0000 0.0000
Sc2 0.0000 0.5000 0.5000
Sc3 0.2875 0.5409 0.0577
Sc4 0.2875 0.9591 0.5577
Sc5 0.7125 0.0409 0.4423
Sc6 0.7125 0.4591 0.9423

Starting from a DFT-relaxed cell (GGA-PBE, Alexandria), the powder diffraction line list of Pu3TiAg3S8 was computed for copper Kα.
Kinematic intensities with the Lorentz-polarization factor, no thermal factor.

Main lines, sorted by position (2θ from 10° to 90°):
d (Å)  Position (°2θ)  intensity
6.149  14.4  25
5.494  16.1  26
3.206  27.8  56
2.747  32.6  100
1.974  46.0  37
1.912  47.6  33

Structural model:
abc: 7.6497 7.6497 7.6646
angles: 117.92 117.92 62.16
Sites, in units of the cell vectors:
Pu1 0.0000 0.0000 0.0000
Pu2 0.0000 0.5000 0.5000
Pu3 0.5000 0.0000 0.5000
Ti1 0.5000 0.5000 0.0000
Ag1 0.0000 0.5000 0.0000
Ag2 0.5000 0.0000 0.0000
Ag3 0.5000 0.5000 0.5000
S1 0.2477 0.2477 0.2532
S2 0.2681 0.7290 0.7718
S3 0.2710 0.2710 0.7671
S4 0.2710 0.7319 0.2282
S5 0.7290 0.2681 0.7718
S6 0.7290 0.7290 0.2329
S7 0.7319 0.2710 0.2282
S8 0.7523 0.7523 0.7468

Starting from a DFT-relaxed cell (GGA-PBE, Alexandria), the powder diffraction line list of BaMgSc4S8 was computed for copper Kα.
Kinematic intensities with the Lorentz-polarization factor, no thermal factor.

Main lines, sorted by position (2θ from 10° to 90°):
d (Å)  Position (°2θ)  intensity
3.956  22.5  50
3.922  22.7  32
3.352  26.6  100
2.143  42.2  31
1.978  45.9  50
1.961  46.3  49

Structural model:
abc: 7.9125 7.9125 7.9125
angles: 59.43 59.43 59.43
Sites, in units of the cell vectors:
Ba1 0.0000 0.0000 0.0000
Mg1 0.6256 0.6256 0.6256
Sc1 0.1142 0.6273 0.6273
Sc2 0.2478 0.2478 0.2478
Sc3 0.6273 0.1142 0.6273
Sc4 0.6273 0.6273 0.1142
S1 0.3793 0.3793 0.8557
S2 0.3793 0.8557 0.3793
S3 0.3798 0.3798 0.3798
S4 0.4404 0.8548 0.8548
S5 0.8540 0.8540 0.8540
S6 0.8548 0.4404 0.8548
S7 0.8548 0.8548 0.4404
S8 0.8557 0.3793 0.3793

Starting from a DFT-relaxed cell (GGA-PBE, Alexandria), the powder diffraction line list of Pr7Tm5 was computed for copper Kα.
Kinematic intensities with the Lorentz-polarization factor, no thermal factor.

Main lines, sorted by position (2θ from 10° to 90°):
d (Å)  Position (°2θ)  intensity
3.047  29.3  40
2.932  30.5  50
2.779  32.2  100
2.764  32.4  47
1.813  50.3  25
1.661  55.3  27

Structural model:
abc: 9.5766 9.5766 13.2856
angles: 117.47 117.47 21.99
Sites, in units of the cell vectors:
Pr1 0.0000 0.0000 0.0000
Pr2 0.1394 0.1394 0.7519
Pr3 0.1678 0.1678 0.5055
Pr4 0.4709 0.4709 0.7499
Pr5 0.5291 0.5291 0.2501
Pr6 0.8322 0.8322 0.4945
Pr7 0.8606 0.8606 0.2481
Tm1 0.1940 0.1940 0.2461
Tm2 0.3309 0.3309 0.9969
Tm3 0.5000 0.5000 0.5000
Tm4 0.6691 0.6691 0.0031
Tm5 0.8060 0.8060 0.7539

Starting from a DFT-relaxed cell (GGA-PBE, Alexandria), the powder diffraction line list of Li5Ca3Zn was computed for copper Kα.
Kinematic intensities with the Lorentz-polarization factor, no thermal factor.

Main lines, sorted by position (2θ from 10° to 90°):
d (Å)  Position (°2θ)  intensity
6.605  13.4  35
4.778  18.6  89
3.813  23.3  35
3.302  27.0  66
2.980  30.0  49
2.717  33.0  100

Structural model:
abc: 7.6264 7.6264 4.7776
angles: 90.00 90.00 120.00
Sites, in units of the cell vectors:
Li1 0.0000 0.7787 0.0000
Li2 0.2213 0.2213 0.0000
Li3 0.3333 0.6667 0.0000
Li4 0.6667 0.3333 0.0000
Li5 0.7787 0.0000 0.0000
Ca1 0.0000 0.4056 0.5000
Ca2 0.4056 0.0000 0.5000
Ca3 0.5944 0.5944 0.5000
Zn1 0.0000 0.0000 0.5000

Starting from a DFT-relaxed cell (GGA-PBE, Alexandria), the powder diffraction line list of Pm2Er3Pt4 was computed for copper Kα.
Kinematic intensities with the Lorentz-polarization factor, no thermal factor.

Main lines, sorted by position (2θ from 10° to 90°):
d (Å)  Position (°2θ)  intensity
2.897  30.9  57
2.697  33.2  100
2.680  33.4  100
2.616  34.3  27
2.443  36.8  74
2.407  37.4  55

Structural model:
abc: 7.6135 7.6499 7.7340
angles: 90.00 109.57 90.00
Sites, in units of the cell vectors:
Pm1 0.1957 0.1775 0.0786
Pm2 0.1957 0.3225 0.5786
Pm3 0.8043 0.6775 0.4214
Pm4 0.8043 0.8225 0.9214
Er1 0.2451 0.6641 0.2478
Er2 0.2451 0.8359 0.7478
Er3 0.5000 0.0000 0.5000
Er4 0.5000 0.5000 0.0000
Er5 0.7549 0.1641 0.2522
Er6 0.7549 0.3359 0.7522
Pt1 0.0900 0.5385 0.8596
Pt2 0.0900 0.9615 0.3596
Pt3 0.4968 0.1347 0.8703
Pt4 0.4968 0.3653 0.3703
Pt5 0.5032 0.6347 0.6297
Pt6 0.5032 0.8653 0.1297
Pt7 0.9100 0.0385 0.6404
Pt8 0.9100 0.4615 0.1404

Starting from a DFT-relaxed cell (GGA-PBE, Alexandria), the powder diffraction line list of IrRh5 was computed for copper Kα.
Kinematic intensities with the Lorentz-polarization factor, no thermal factor.

Main lines, sorted by position (2θ from 10° to 90°):
d (Å)  Position (°2θ)  intensity
2.221  40.6  100
1.925  47.2  32
1.919  47.4  16
1.359  69.1  20
1.161  83.2  25
1.158  83.5  12

Structural model:
abc: 2.7230 2.7230 11.5142
angles: 90.00 90.00 90.00
Sites, in units of the cell vectors:
Ir1 0.0000 0.0000 0.0000
Rh1 0.0000 0.0000 0.3344
Rh2 0.0000 0.0000 0.6656
Rh3 0.5000 0.5000 0.1656
Rh4 0.5000 0.5000 0.5000
Rh5 0.5000 0.5000 0.8344

Starting from a DFT-relaxed cell (GGA-PBE, Alexandria), the powder diffraction line list of RbGaHgI4 was computed for copper Kα.
Kinematic intensities with the Lorentz-polarization factor, no thermal factor.

Main lines, sorted by position (2θ from 10° to 90°):
d (Å)  Position (°2θ)  intensity
3.769  23.6  100
3.739  23.8  98
3.707  24.0  87
3.151  28.3  60
2.982  30.0  64
2.334  38.6  40

Structural model:
abc: 10.7827 10.7827 8.8236
angles: 105.45 105.45 45.98
Sites, in units of the cell vectors:
Rb1 0.2149 0.2149 0.2454
Rb2 0.7851 0.7851 0.7546
Ga1 0.1522 0.1522 0.6962
Ga2 0.8478 0.8478 0.3038
Hg1 0.4767 0.4767 0.1778
Hg2 0.5233 0.5233 0.8222
I1 0.0681 0.0681 0.8705
I2 0.1167 0.6211 0.4865
I3 0.2825 0.2825 0.8765
I4 0.3789 0.8833 0.5135
I5 0.6211 0.1167 0.4865
I6 0.7175 0.7175 0.1235
I7 0.8833 0.3789 0.5135
I8 0.9319 0.9319 0.1295

Starting from a DFT-relaxed cell (GGA-PBE, Alexandria), the powder diffraction line list of Cu5Si2S7 was computed for copper Kα.
Kinematic intensities with the Lorentz-polarization factor, no thermal factor.

Main lines, sorted by position (2θ from 10° to 90°):
d (Å)  Position (°2θ)  intensity
3.181  28.1  100
3.055  29.2  58
2.834  31.6  35
2.815  31.8  62
1.835  49.7  48
1.723  53.2  26

Structural model:
abc: 8.7827 8.7827 9.6131
angles: 92.11 92.11 42.41
Sites, in units of the cell vectors:
Cu1 0.1071 0.4629 0.4379
Cu2 0.1448 0.8552 0.5000
Cu3 0.2573 0.6015 0.1483
Cu4 0.3937 0.7427 0.8542
Cu5 0.4629 0.1071 0.9379
Cu6 0.5500 0.8794 0.5738
Cu7 0.6015 0.2573 0.6483
Cu8 0.7427 0.3937 0.3542
Cu9 0.8552 0.1448 0.0000
Cu10 0.8794 0.5500 0.0738
Si1 0.0199 0.6904 0.7762
Si2 0.3109 0.9683 0.2083
Si3 0.6904 0.0199 0.2762
Si4 0.9683 0.3109 0.7083
S1 0.0787 0.4165 0.8639
S2 0.1319 0.7710 0.9347
S3 0.2225 0.5615 0.5946
S4 0.2566 0.9588 0.6599
S5 0.3659 0.7130 0.3030
S6 0.4165 0.0787 0.3639
S7 0.5015 0.8408 0.0222
S8 0.5615 0.2225 0.0946
S9 0.6642 0.9750 0.7359
S10 0.7130 0.3659 0.8030
S11 0.7710 0.1319 0.4347
S12 0.8408 0.5015 0.5222
S13 0.9588 0.2566 0.1599
S14 0.9750 0.6642 0.2359

Starting from a DFT-relaxed cell (GGA-PBE, Alexandria), the powder diffraction line list of Dy10Ge3Sb3 was computed for copper Kα.
Kinematic intensities with the Lorentz-polarization factor, no thermal factor.

Main lines, sorted by position (2θ from 10° to 90°):
d (Å)  Position (°2θ)  intensity
2.933  30.5  26
2.865  31.2  37
2.612  34.3  100
2.573  34.9  82
2.527  35.5  42
1.705  53.8  28

Structural model:
abc: 8.7533 8.7533 6.3619
angles: 90.00 90.00 120.00
Sites, in units of the cell vectors:
Dy1 0.0000 0.2436 0.0000
Dy2 0.0000 0.7580 0.5000
Dy3 0.2420 0.2420 0.5000
Dy4 0.2436 0.0000 0.0000
Dy5 0.3333 0.6667 0.2429
Dy6 0.3333 0.6667 0.7571
Dy7 0.6667 0.3333 0.2429
Dy8 0.6667 0.3333 0.7571
Dy9 0.7564 0.7564 0.0000
Dy10 0.7580 0.0000 0.5000
Ge1 0.0000 0.6107 0.0000
Ge2 0.3893 0.3893 0.0000
Ge3 0.6107 0.0000 0.0000
Sb1 0.0000 0.3946 0.5000
Sb2 0.3946 0.0000 0.5000
Sb3 0.6054 0.6054 0.5000

Starting from a DFT-relaxed cell (GGA-PBE, Alexandria), the powder diffraction line list of Mg16Al12Cl was computed for copper Kα.
Kinematic intensities with the Lorentz-polarization factor, no thermal factor.

Main lines, sorted by position (2θ from 10° to 90°):
d (Å)  Position (°2θ)  intensity
2.645  33.9  21
2.494  36.0  100
2.256  40.0  44
2.075  43.6  29
1.496  62.0  14
1.440  64.7  19

Structural model:
abc: 9.1638 9.1638 9.1638
angles: 109.47 109.47 109.47
Sites, in units of the cell vectors:
Mg1 0.0000 0.0000 0.7033
Mg2 0.0000 0.4118 0.6911
Mg3 0.0000 0.6911 0.4118
Mg4 0.0000 0.7033 0.0000
Mg5 0.2793 0.5882 0.5882
Mg6 0.2967 0.2967 0.2967
Mg7 0.3089 0.3089 0.7207
Mg8 0.3089 0.7207 0.3089
Mg9 0.4118 0.0000 0.6911
Mg10 0.4118 0.6911 0.0000
Mg11 0.5882 0.2793 0.5882
Mg12 0.5882 0.5882 0.2793
Mg13 0.6911 0.0000 0.4118
Mg14 0.6911 0.4118 0.0000
Mg15 0.7033 0.0000 0.0000
Mg16 0.7207 0.3089 0.3089
Al1 0.0000 0.1895 0.3806
Al2 0.0000 0.3806 0.1895
Al3 0.1895 0.0000 0.3806
Al4 0.1895 0.3806 0.0000
Al5 0.1912 0.8105 0.8105
Al6 0.3806 0.0000 0.1895
Al7 0.3806 0.1895 0.0000
Al8 0.6194 0.6194 0.8088
Al9 0.6194 0.8088 0.6194
Al10 0.8088 0.6194 0.6194
Al11 0.8105 0.1912 0.8105
Al12 0.8105 0.8105 0.1912
Cl1 0.0000 0.0000 0.0000

Starting from a DFT-relaxed cell (GGA-PBE, Alexandria), the powder diffraction line list of Mg4AgHg was computed for copper Kα.
Kinematic intensities with the Lorentz-polarization factor, no thermal factor.

Main lines, sorted by position (2θ from 10° to 90°):
d (Å)  Position (°2θ)  intensity
4.902  18.1  100
3.550  25.1  83
3.150  28.3  61
2.505  35.8  88
2.486  36.1  43
2.331  38.6  71

Structural model:
abc: 5.5070 5.5070 7.6162
angles: 109.95 109.95 35.16
Sites, in units of the cell vectors:
Mg1 0.1544 0.1544 0.3374
Mg2 0.1594 0.1594 0.8186
Mg3 0.8406 0.8406 0.1814
Mg4 0.8456 0.8456 0.6626
Ag1 0.5000 0.5000 0.5000
Hg1 0.5000 0.5000 0.0000